The following is a theoretical X-ray powder pattern of SbPd3Se2. It was derived from a DFT-relaxed cell (PBE, Alexandria), using Cu Kα (λ = 1.5418 Å).
Intensities are scaled so that the largest is 100.

Structure:
Cell: 6.945 6.945 6.310 Å, 100.93 100.93 124.04°
Fractional coordinates of all 12 atoms:
1 Sb 0.063 0.937 0.750
2 Sb 0.937 0.063 0.250
3 Pd 0.000 0.500 0.500
4 Pd 0.200 0.378 0.046
5 Pd 0.378 0.200 0.546
6 Pd 0.500 0.000 0.000
7 Pd 0.622 0.800 0.454
8 Pd 0.800 0.622 0.954
9 Se 0.219 0.781 0.250
10 Se 0.406 0.594 0.750
11 Se 0.594 0.406 0.250
12 Se 0.781 0.219 0.750

Most intense lines, 10° ≤ 2θ ≤ 90°, in order of rising 2θ:
2theta  I/Imax
33.37  63
33.71  100
40.53  12
44.30  20
47.47  39
48.84  33
52.28  11
56.58  19